Record 1
# MnPd3
Theoretical powder diffraction line list, CuKα. Input: DFT lattice parameters and positions (PBE).
Peak positions follow from Bragg's law for the DFT cell and can differ from measured ones.

Structure:
Lattice parameters (Å, degrees): 5.5851 5.5851 4.5295 90.00 90.00 120.00
Atoms (fractional coordinates):
Mn (0.3333, 0.6667, 0.2500)
Mn (0.6667, 0.3333, 0.7500)
Pd (0.1678, 0.3357, 0.7500)
Pd (0.1678, 0.8322, 0.7500)
Pd (0.3357, 0.1678, 0.2500)
Pd (0.6643, 0.8322, 0.7500)
Pd (0.8322, 0.1678, 0.2500)
Pd (0.8322, 0.6643, 0.2500)

The 6 most intense peaks (10 to 90 degrees two-theta), sorted by position:
| d [Å] | 2theta | I/Imax |
| --- | --- | --- |
| 2.418 | 37.2 | 24 |
| 2.265 | 39.8 | 27 |
| 2.133 | 42.4 | 100 |
| 1.396 | 67.0 | 16 |
| 1.281 | 74.0 | 18 |
| 1.189 | 80.9 | 19 |


Record 2
# ErCu4Au
Theoretical powder diffraction line list, CuKα. Input: DFT lattice parameters and positions (PBE).
Peak positions follow from Bragg's law for the DFT cell and can differ from measured ones.

Structure:
Lattice parameters (Å, degrees): 5.0148 5.0148 5.0148 60.00 60.00 60.00
Atoms (fractional coordinates):
Er (0.0000, 0.0000, 0.0000)
Cu (0.3757, 0.3757, 0.3757)
Cu (0.3757, 0.3757, 0.8729)
Cu (0.3757, 0.8729, 0.3757)
Cu (0.8729, 0.3757, 0.3757)
Au (0.7500, 0.7500, 0.7500)

The 6 most intense peaks (10 to 90 degrees two-theta), sorted by position:
| d [Å] | 2theta | I/Imax |
| --- | --- | --- |
| 4.095 | 21.7 | 16 |
| 2.507 | 35.8 | 67 |
| 2.138 | 42.3 | 100 |
| 1.448 | 64.4 | 25 |
| 1.365 | 68.8 | 31 |
| 1.254 | 75.9 | 22 |